Entry 1:
The following is a computed powder diffractogram of CeAl3Pd2. It was derived from a crystal structure in the Materials Project, relaxed with GGA-PBE, using λ = 1.5418 Å (Cu Kα).
Lines closer than 0.1° are merged.

Cell and atoms:
a b c (Å): 5.4459 5.4459 4.2570
angles (deg): 90.00 90.00 120.00
Positions (direct):
Ce: 0.0000 0.0000 0.0000
Al: 0.0000 0.5000 0.5000
Al: 0.5000 0.0000 0.5000
Al: 0.5000 0.5000 0.5000
Pd: 0.3333 0.6667 0.0000
Pd: 0.6667 0.3333 0.0000

Most intense lines, 15 to 90 degrees two-theta, low angle first:
| 2theta | d [Å] | intensity | h k l |
| --- | --- | --- | --- |
| 20.87 | 4.257 | 43 | 0 0 1 |
| 32.89 | 2.723 | 60 | 1 1 0 |
| 39.28 | 2.294 | 100 | 1 1 1 |
| 42.47 | 2.129 | 17 | 0 0 2 |
| 54.74 | 1.677 | 28 | 1 1 2 |
| 63.03 | 1.475 | 24 | 3 0 1 |

***

Entry 2:
The following is a computed powder diffractogram of CeAlPd. It was derived from a crystal structure in the Materials Project, relaxed with GGA-PBE, using λ = 1.5418 Å (Cu Kα).
Lines closer than 0.1° are merged.

Cell and atoms:
a b c (Å): 4.2414 28.6937 7.1733
angles (deg): 90.00 90.00 90.00
Positions (direct):
Ce: 0.2500 0.0330 0.1417
Ce: 0.2500 0.1269 0.5066
Ce: 0.2500 0.1586 0.0122
Ce: 0.2500 0.2500 0.6428
Ce: 0.2500 0.3414 0.0122
Ce: 0.2500 0.3731 0.5066
Ce: 0.2500 0.4670 0.1417
Ce: 0.7500 0.5330 0.8583
Ce: 0.7500 0.6269 0.4934
Ce: 0.7500 0.6586 0.9878
Ce: 0.7500 0.7500 0.3572
Ce: 0.7500 0.8414 0.9878
Ce: 0.7500 0.8731 0.4934
Ce: 0.7500 0.9670 0.8583
Al: 0.2500 0.5353 0.5114
Al: 0.2500 0.5841 0.1601
Al: 0.2500 0.6999 0.6648
Al: 0.2500 0.7500 0.0110
Al: 0.2500 0.8001 0.6648
Al: 0.2500 0.9159 0.1601
Al: 0.2500 0.9647 0.5114
Al: 0.7500 0.0353 0.4886
Al: 0.7500 0.0841 0.8399
Al: 0.7500 0.1999 0.3352
Al: 0.7500 0.2500 0.9890
Al: 0.7500 0.3001 0.3352
Al: 0.7500 0.4159 0.8399
Al: 0.7500 0.4647 0.4886
Pd: 0.2500 0.0409 0.7086
Pd: 0.2500 0.2500 0.2215
Pd: 0.2500 0.4591 0.7086
Pd: 0.2500 0.6033 0.7759
Pd: 0.2500 0.6777 0.2788
Pd: 0.2500 0.8223 0.2788
Pd: 0.2500 0.8967 0.7759
Pd: 0.7500 0.1033 0.2241
Pd: 0.7500 0.1777 0.7212
Pd: 0.7500 0.3223 0.7212
Pd: 0.7500 0.3967 0.2241
Pd: 0.7500 0.5409 0.2914
Pd: 0.7500 0.7500 0.7785
Pd: 0.7500 0.9591 0.2914

Most intense lines, 15 to 90 degrees two-theta, low angle first:
| 2theta | d [Å] | intensity | h k l |
| --- | --- | --- | --- |
| 25.02 | 3.559 | 28 | 0 1 2 |
| 32.85 | 2.726 | 99 | 1 7 1 |
| 35.22 | 2.548 | 79 | 1 9 0 |
| 36.35 | 2.472 | 100 | 1 5 2 |
| 42.63 | 2.121 | 56 | 2 0 0 |
| 43.87 | 2.064 | 36 | 0 7 3 |

***

Entry 3:
The following is a computed powder diffractogram of Ce2Al11Pd3. It was derived from a crystal structure in the Materials Project, relaxed with GGA-PBE, using λ = 1.5418 Å (Cu Kα).
Lines closer than 0.1° are merged.

Cell and atoms:
a b c (Å): 4.2628 4.2628 16.8980
angles (deg): 90.00 90.00 90.00
Positions (direct):
Ce: 0.0000 0.0000 0.0000
Ce: 0.0000 0.0000 0.4965
Al: 0.0000 0.5000 0.1635
Al: 0.0000 0.5000 0.3318
Al: 0.0000 0.5000 0.6639
Al: 0.0000 0.5000 0.8362
Al: 0.5000 0.0000 0.1635
Al: 0.5000 0.0000 0.3318
Al: 0.5000 0.0000 0.6639
Al: 0.5000 0.0000 0.8362
Al: 0.5000 0.5000 0.0663
Al: 0.5000 0.5000 0.4245
Al: 0.5000 0.5000 0.5709
Pd: 0.0000 0.0000 0.2486
Pd: 0.0000 0.0000 0.7461
Pd: 0.5000 0.5000 0.9203

Most intense lines, 15 to 90 degrees two-theta, low angle first:
| 2theta | d [Å] | intensity | h k l |
| --- | --- | --- | --- |
| 20.84 | 4.263 | 36 | 1 0 0 |
| 29.77 | 3.001 | 100 | 1 0 4 |
| 36.62 | 2.454 | 57 | 1 1 4 |
| 42.41 | 2.131 | 49 | 2 0 0 |
| 48.07 | 1.893 | 36 | 1 0 8 |
| 52.68 | 1.738 | 40 | 2 1 4 |

***

Entry 4:
The following is a computed powder diffractogram of CeAl6Pd. It was derived from a crystal structure in the Materials Project, relaxed with GGA-PBE, using λ = 1.5418 Å (Cu Kα).
Lines closer than 0.1° are merged.

Cell and atoms:
a b c (Å): 4.2929 4.2929 8.3149
angles (deg): 90.00 90.00 90.00
Positions (direct):
Ce: 0.0000 0.0000 0.0000
Al: 0.0000 0.5000 0.3313
Al: 0.0000 0.5000 0.6687
Al: 0.5000 0.0000 0.3313
Al: 0.5000 0.0000 0.6687
Al: 0.5000 0.5000 0.1473
Al: 0.5000 0.5000 0.8527
Pd: 0.0000 0.0000 0.5000

Most intense lines, 15 to 90 degrees two-theta, low angle first:
| 2theta | d [Å] | intensity | h k l |
| --- | --- | --- | --- |
| 20.69 | 4.293 | 67 | 1 0 0 |
| 29.92 | 2.986 | 100 | 1 0 2 |
| 36.66 | 2.452 | 70 | 1 1 2 |
| 42.10 | 2.146 | 47 | 2 0 0 |
| 48.67 | 1.871 | 32 | 1 0 4 |
| 52.50 | 1.743 | 41 | 2 1 2 |